LiPb2F11: simulated powder XRD pattern (CuKα), based on a PBE-relaxed structure.

Peak list (8 most intense, 10° ≤ 2θ ≤ 90°, by angle)
| two_theta | intensity |
| --- | --- |
| 16.65 | 46 |
| 17.30 | 51 |
| 23.74 | 100 |
| 24.10 | 49 |
| 33.73 | 23 |
| 38.09 | 19 |
| 42.18 | 28 |
| 48.58 | 17 |

Atomic structure:
Unit cell a=8.5759 b=8.5759 c=8.5759 alpha=119.04 beta=103.25 gamma=106.59
Fractional coordinates of all 28 atoms:
1 Li 0.2500 0.2500 0.0000
2 Li 0.7500 0.7500 0.0000
3 Pb 0.2414 0.1202 0.3617
4 Pb 0.2586 0.6202 0.8788
5 Pb 0.7414 0.3798 0.1212
6 Pb 0.7586 0.8798 0.6383
7 F 0.0000 0.5000 0.5000
8 F 0.0244 0.5309 0.2702
9 F 0.0376 0.0187 0.7680
10 F 0.2312 0.8685 0.0997
11 F 0.2393 0.9691 0.4934
12 F 0.2494 0.4813 0.0189
13 F 0.2506 0.2695 0.2320
14 F 0.2607 0.7542 0.7298
15 F 0.2688 0.3685 0.6373
16 F 0.4624 0.2305 0.9811
17 F 0.4756 0.7458 0.5066
18 F 0.5000 0.0000 0.5000
19 F 0.5244 0.2542 0.4934
20 F 0.5376 0.7695 0.0189
21 F 0.7312 0.6315 0.3627
22 F 0.7393 0.2458 0.2702
23 F 0.7494 0.7305 0.7680
24 F 0.7506 0.5187 0.9811
25 F 0.7607 0.0309 0.5066
26 F 0.7688 0.1315 0.9003
27 F 0.9624 0.9813 0.2320
28 F 0.9756 0.4691 0.7298